No. 1
The following is a calculated powder X-ray diffraction pattern of KBF4. It was derived from DFT lattice parameters and positions (PBE), using Cu Kα, 1.54184 Å.
Peak positions follow from Bragg's law for the DFT cell and can differ from measured ones.

Main lines, in order of rising 2θ (2θ from 10° to 80°):
| 2theta | I (rel.) | h k l |
| --- | --- | --- |
| 25.80 | 93 | 2 1 0 |
| 28.71 | 100 | 2 1 1 |
| 31.40 | 76 | 1 1 2 |
| 40.30 | 71 | 2 2 1 |
| 42.49 | 59 | 1 1 3 |
| 43.08 | 88 | 4 0 1 |

a = 8.787 Å, b = 5.584 Å, c = 7.153 Å
α = 90.00°, β = 90.00°, γ = 90.00°
Space group Pnma (No. 62)
Asymmetric unit:
K 0.184 0.250 0.160 (multiplicity 4)
B 0.063 0.250 0.689 (multiplicity 4)
F 0.077 0.043 0.804 (multiplicity 8)
F 0.081 0.750 0.398 (multiplicity 4)
F 0.181 0.250 0.554 (multiplicity 4)


No. 2
The following is a calculated powder X-ray diffraction pattern of CsFeBr3. It was derived from DFT lattice parameters and positions (PBE), using Cu Kα, 1.54184 Å.
Peak positions follow from Bragg's law for the DFT cell and can differ from measured ones.

Main lines, in order of rising 2θ (2θ from 10° to 80°):
| 2theta | I (rel.) | h k l |
| --- | --- | --- |
| 13.41 | 21 | 1 0 0 |
| 29.07 | 20 | 0 0 2 |
| 30.75 | 100 | 2 0 1 |
| 40.10 | 28 | 2 0 2 |
| 47.73 | 22 | 2 2 0 |
| 52.59 | 21 | 2 0 3 |

a = 7.6217 Å, b = 7.6217 Å, c = 6.1441 Å
α = 90.00°, β = 90.00°, γ = 120.00°
Space group P6_3/mmc (No. 194)
Asymmetric unit:
Cs 0.3333 0.6667 0.2500 (multiplicity 2)
Fe 0.0000 0.0000 0.0000 (multiplicity 2)
Br 0.1465 0.2929 0.7500 (multiplicity 6)


No. 3
The following is a calculated powder X-ray diffraction pattern of LiCdN. It was derived from DFT lattice parameters and positions (PBE), using Cu Kα, 1.54184 Å.
Peak positions follow from Bragg's law for the DFT cell and can differ from measured ones.

Main lines, in order of rising 2θ (2θ from 10° to 80°):
| 2theta | I (rel.) | h k l |
| --- | --- | --- |
| 21.75 | 34 | 0 0 1 |
| 27.86 | 100 | 1 0 0 |
| 35.62 | 70 | 1 0 1 |
| 49.29 | 22 | 1 1 0 |
| 53.17 | 30 | 1 0 2 |
| 54.48 | 18 | 1 1 1 |

a = 3.6972 Å, b = 3.6972 Å, c = 4.0870 Å
α = 90.00°, β = 90.00°, γ = 120.00°
Space group P-6m2 (No. 187)
Asymmetric unit:
Li 0.0000 0.0000 0.0000 (multiplicity 1)
Cd 0.6667 0.3333 0.5000 (multiplicity 1)
N 0.6667 0.3333 0.0000 (multiplicity 1)


No. 4
The following is a calculated powder X-ray diffraction pattern of BeGa3. It was derived from DFT lattice parameters and positions (PBE), using Cu Kα, 1.54184 Å.
Peak positions follow from Bragg's law for the DFT cell and can differ from measured ones.

Main lines, in order of rising 2θ (2θ from 10° to 80°):
| 2theta | I (rel.) | h k l |
| --- | --- | --- |
| 24.75 | 29 | 1 0 1 |
| 39.20 | 100 | 1 1 2 |
| 44.32 | 35 | 2 0 0 |
| 48.00 | 14 | 0 0 4 |
| 67.39 | 19 | 2 0 4 |
| 78.13 | 25 | 3 1 2 |

a = 4.087 Å, b = 4.087 Å, c = 7.581 Å
α = 90.00°, β = 90.00°, γ = 90.00°
Space group I4/mmm (No. 139)
Asymmetric unit:
Be 0.000 0.000 0.000 (multiplicity 2)
Ga 0.000 0.000 0.500 (multiplicity 2)
Ga 0.000 0.500 0.250 (multiplicity 4)


No. 5
The following is a calculated powder X-ray diffraction pattern of TbCuPbS3. It was derived from DFT lattice parameters and positions (PBE), using Cu Kα, 1.54184 Å.
Peak positions follow from Bragg's law for the DFT cell and can differ from measured ones.

Main lines, in order of rising 2θ (2θ from 10° to 80°):
| 2theta | I (rel.) | h k l |
| --- | --- | --- |
| 22.03 | 100 | 0 2 2 |
| 25.03 | 47 | 1 1 1 |
| 27.30 | 46 | 0 4 0 |
| 31.75 | 99 | 1 3 1 |
| 35.30 | 92 | 1 3 2 |
| 45.20 | 57 | 0 6 2 |

a = 3.963 Å, b = 13.066 Å, c = 10.263 Å
α = 90.00°, β = 90.00°, γ = 90.00°
Space group Cmc2_1 (No. 36)
Asymmetric unit:
Tb 0.000 0.004 0.000 (multiplicity 4)
Cu 0.000 0.466 0.749 (multiplicity 4)
Pb 0.000 0.252 0.274 (multiplicity 4)
S 0.000 0.075 0.748 (multiplicity 4)
S 0.000 0.362 0.566 (multiplicity 4)
S 0.000 0.364 0.932 (multiplicity 4)


No. 6
The following is a calculated powder X-ray diffraction pattern of CeZnGe. It was derived from DFT lattice parameters and positions (PBE), using Cu Kα, 1.54184 Å.
Peak positions follow from Bragg's law for the DFT cell and can differ from measured ones.

Main lines, in order of rising 2θ (2θ from 10° to 80°):
| 2theta | I (rel.) | h k l |
| --- | --- | --- |
| 32.38 | 100 | 1 0 4 |
| 42.17 | 45 | 1 1 0 |
| 43.69 | 11 | 0 0 8 |
| 54.15 | 23 | 2 0 4 |
| 62.34 | 23 | 1 1 8 |
| 70.92 | 20 | 2 1 4 |

a = 4.2859 Å, b = 4.2859 Å, c = 16.5753 Å
α = 90.00°, β = 90.00°, γ = 120.00°
Space group P6_3/mmc (No. 194)
Asymmetric unit:
Ce 0.0000 0.0000 0.0000 (multiplicity 2)
Ce 0.0000 0.0000 0.2500 (multiplicity 2)
Zn 0.3333 0.6667 0.1395 (multiplicity 4)
Ge 0.3333 0.6667 0.6175 (multiplicity 4)


No. 7
The following is a calculated powder X-ray diffraction pattern of P2Pb3O8. It was derived from DFT lattice parameters and positions (PBE), using Cu Kα, 1.54184 Å.
Peak positions follow from Bragg's law for the DFT cell and can differ from measured ones.

Main lines, in order of rising 2θ (2θ from 10° to 80°):
| 2theta | I (rel.) | h k l |
| --- | --- | --- |
| 25.23 | 49 | 1 1 1 |
| 28.38 | 100 | 1 1 -2 |
| 28.69 | 44 | 2 0 1 |
| 31.72 | 45 | 0 2 0 |
| 32.31 | 84 | 3 1 -1 |
| 43.30 | 33 | 2 2 1 |

a = 9.544 Å, b = 5.641 Å, c = 7.581 Å
α = 90.00°, β = 115.07°, γ = 90.00°
Space group C2/m (No. 12)
Asymmetric unit:
P 0.096 0.000 0.292 (multiplicity 4)
Pb 0.000 0.500 0.500 (multiplicity 2)
Pb 0.222 0.500 0.142 (multiplicity 4)
O 0.009 0.224 0.783 (multiplicity 8)
O 0.176 0.000 0.517 (multiplicity 4)
O 0.222 0.000 0.211 (multiplicity 4)